[1]
Starting from the GGA-PBE geometry in Alexandria, the X-ray powder pattern of Pr3Si2Ge was computed for Cu Kα (λ = 1.5418 Å).
No peak broadening, texture or thermal motion is included.

Main lines, by angle (2θ = 5–70°):
two_theta	d (Å)	intensity
26.63	3.347	29
26.85	3.321	33
29.76	3.002	42
30.37	2.943	27
30.62	2.920	100
31.66	2.826	23
34.21	2.621	47
42.91	2.108	31

Structural model:
Cell lengths 12.0319, 4.2151, 12.1424 Å; angles 90.00, 90.00, 90.00 degrees
Element x y z (fractional)
Pr  0.0610  0.2500  0.1210
Pr  0.1185  0.7500  0.5580
Pr  0.2015  0.2500  0.7965
Pr  0.2985  0.7500  0.2965
Pr  0.3815  0.2500  0.0580
Pr  0.4390  0.7500  0.6210
Pr  0.5610  0.2500  0.3790
Pr  0.6185  0.7500  0.9420
Pr  0.7015  0.2500  0.7035
Pr  0.7985  0.7500  0.2035
Pr  0.8815  0.2500  0.4420
Pr  0.9390  0.7500  0.8790
Si  0.0242  0.7500  0.3104
Si  0.1908  0.7500  0.9902
Si  0.3092  0.2500  0.4902
Si  0.4758  0.2500  0.8104
Si  0.5242  0.7500  0.1896
Si  0.6908  0.7500  0.5098
Si  0.8092  0.2500  0.0098
Si  0.9758  0.2500  0.6896
Ge  0.1323  0.2500  0.3696
Ge  0.3677  0.7500  0.8696
Ge  0.6323  0.2500  0.1304
Ge  0.8677  0.7500  0.6304

[2]
Starting from the GGA-PBE geometry in Alexandria, the X-ray powder pattern of Cs2TcAgF6 was computed for Cu Kα (λ = 1.5418 Å).
No peak broadening, texture or thermal motion is included.

Main lines, by angle (2θ = 5–70°):
two_theta	d (Å)	intensity
27.71	3.219	100
34.11	2.628	5
39.59	2.276	34
49.01	1.859	40
57.24	1.610	21
64.75	1.440	19
68.34	1.373	1

Structural model:
Cell lengths 6.4393, 6.4393, 6.4393 Å; angles 120.03, 120.03, 89.94 degrees
Element x y z (fractional)
Cs  0.2500  0.7500  0.5000
Cs  0.7500  0.2500  0.5000
Tc  0.0000  0.0000  0.0000
Ag  0.5000  0.5000  0.0000
F  0.2211  0.2211  0.0000
F  0.2294  0.2294  0.4588
F  0.2294  0.7706  0.0000
F  0.7706  0.2294  0.0000
F  0.7706  0.7706  0.5412
F  0.7789  0.7789  0.0000